[1]
Starting from DFT lattice parameters and positions (GGA-PBE), the powder diffraction line list of SrCa2TlH2 was calculated for Cu Ka.

Crystal structure
```
12
Lattice="7.2525 0.0000 0.0000 0.0000 5.5075 0.0000 -2.2342 0.0000 7.3516" Properties=species:S:1:pos:R:3 pbc="T T T"
Sr 0.2832 1.3769 3.1229
Sr 4.7350 4.1306 4.2286
Ca -1.0348 1.3769 6.6354
Ca 1.0792 4.1306 5.6537
Ca 3.9390 1.3769 1.6979
Ca 6.0531 4.1306 0.7162
Tl 2.0695 4.1306 1.4604
Tl 2.9488 1.3769 5.8912
H -0.5663 2.7766 4.9395
H -0.5663 5.4846 4.9395
H 5.5845 0.0229 2.4121
H 5.5845 2.7309 2.4121
```

The 10 most intense peaks (2θ = 15–90°), sorted by position:
20.0°, d 4.442, I = 443; 20.1°, d 4.408, I = 380; 21.9°, d 4.054, I = 573; 28.9°, d 3.087, I = 443; 29.2°, d 3.057, I = 457; 30.5°, d 2.936, I = 1000; 32.5°, d 2.754, I = 481; 34.1°, d 2.631, I = 296; 34.8°, d 2.577, I = 272; 56.7°, d 1.623, I = 334

---

[2]
Starting from DFT lattice parameters and positions (GGA-PBE), the powder diffraction line list of Np3Hg2Br8 was calculated for Cu Ka.

Crystal structure
```
13
Lattice="9.5661 -4.2776 0.0000 9.5661 4.2776 0.0000 -0.0171 0.0000 7.4187" Properties=species:S:1:pos:R:3 pbc="T T T"
Np 0.0000 0.0000 0.0000
Np 9.5576 2.0922 3.7093
Np 9.5576 -2.0922 3.7093
Hg 4.8908 0.0000 0.0137
Hg 14.2244 0.0000 7.4050
Br 1.6313 0.0000 2.4715
Br 7.9917 2.2292 1.2881
Br 11.1235 2.2292 6.1306
Br 7.8416 0.0000 4.7017
Br 11.2736 0.0000 2.7170
Br 7.9917 -2.2292 1.2881
Br 11.1235 -2.2292 6.1306
Br 17.4839 0.0000 4.9472
```

The 10 most intense peaks (2θ = 15–90°), sorted by position:
15.1°, d 5.863, I = 365; 18.6°, d 4.783, I = 150; 22.8°, d 3.905, I = 148; 24.0°, d 3.707, I = 270; 25.8°, d 3.456, I = 210; 30.5°, d 2.930, I = 1000; 37.2°, d 2.417, I = 122; 42.2°, d 2.140, I = 319; 45.1°, d 2.010, I = 359; 70.0°, d 1.344, I = 126